Simulated powder X-ray diffraction pattern
Compound: Li2ThTl2Se4
Radiation: Cu Kα
Structure: the PBE geometry in Alexandria

Lattice parameters (Å, degrees): 8.123 8.123 7.803 110.29 110.29 30.95
Sites, in units of the cell vectors:
Li (0.184, 0.184, 0.490)
Li (0.816, 0.816, 0.510)
Th (0.500, 0.500, 0.500)
Tl (0.359, 0.359, 0.933)
Tl (0.641, 0.641, 0.067)
Se (0.017, 0.017, 0.262)
Se (0.300, 0.300, 0.321)
Se (0.700, 0.700, 0.679)
Se (0.983, 0.983, 0.738)

The 8 most intense peaks (15° ≤ 2θ ≤ 90°), most intense first:
2θ = 31.0°, d 2.889, rel. 100
2θ = 23.0°, d 3.865, rel. 55
2θ = 21.4°, d 4.156, rel. 42
2θ = 32.9°, d 2.726, rel. 41
2θ = 31.1°, d 2.876, rel. 40
2θ = 35.4°, d 2.537, rel. 34
2θ = 46.6°, d 1.947, rel. 34
2θ = 27.5°, d 3.238, rel. 30


Simulated powder X-ray diffraction pattern
Compound: Ag2Hg2Pd5
Radiation: Cu Kα
Structure: the PBE geometry in Alexandria

Lattice parameters (Å, degrees): 8.348 4.646 4.646 60.35 90.00 90.00
Sites, in units of the cell vectors:
Ag (0.174, 0.000, 0.000)
Ag (0.826, 0.000, 0.000)
Hg (0.000, 0.667, 0.667)
Hg (0.500, 0.334, 0.334)
Pd (0.166, 0.334, 0.334)
Pd (0.333, 0.667, 0.667)
Pd (0.500, 0.000, 0.000)
Pd (0.667, 0.667, 0.667)
Pd (0.834, 0.334, 0.334)

The 8 most intense peaks (15° ≤ 2θ ≤ 90°), most intense first:
2θ = 39.3°, d 2.290, rel. 100
2θ = 38.8°, d 2.323, rel. 75
2θ = 38.6°, d 2.335, rel. 38
2θ = 56.3°, d 1.634, rel. 23
2θ = 70.3°, d 1.339, rel. 18
2θ = 80.5°, d 1.194, rel. 17
2θ = 69.9°, d 1.346, rel. 13
2θ = 70.6°, d 1.333, rel. 12


Simulated powder X-ray diffraction pattern
Compound: HgAuI3
Radiation: Cu Kα
Structure: the PBE geometry in Alexandria

Lattice parameters (Å, degrees): 11.418 11.418 9.318 90.00 90.00 156.26
Sites, in units of the cell vectors:
Hg (0.146, 0.854, 0.500)
Hg (0.854, 0.146, 0.000)
Au (0.331, 0.669, 0.400)
Au (0.669, 0.331, 0.900)
I (0.080, 0.920, 0.262)
I (0.260, 0.740, 0.620)
I (0.406, 0.594, 0.190)
I (0.594, 0.406, 0.690)
I (0.740, 0.260, 0.120)
I (0.920, 0.080, 0.762)

The 8 most intense peaks (15° ≤ 2θ ≤ 90°), most intense first:
2θ = 21.6°, d 4.122, rel. 100
2θ = 24.4°, d 3.655, rel. 51
2θ = 30.7°, d 2.909, rel. 40
2θ = 49.9°, d 1.828, rel. 31
2θ = 15.9°, d 5.587, rel. 25
2θ = 38.3°, d 2.349, rel. 22
2θ = 29.2°, d 3.058, rel. 21
2θ = 40.2°, d 2.241, rel. 20


Simulated powder X-ray diffraction pattern
Compound: DySc3Zn4
Radiation: Cu Kα
Structure: the PBE geometry in Alexandria

Lattice parameters (Å, degrees): 4.799 4.799 6.871 90.00 90.00 90.00
Sites, in units of the cell vectors:
Dy (0.000, 0.000, 0.000)
Sc (0.000, 0.000, 0.500)
Sc (0.500, 0.500, 0.000)
Sc (0.500, 0.500, 0.500)
Zn (0.000, 0.500, 0.264)
Zn (0.000, 0.500, 0.736)
Zn (0.500, 0.000, 0.264)
Zn (0.500, 0.000, 0.736)

The 8 most intense peaks (15° ≤ 2θ ≤ 90°), most intense first:
2θ = 37.2°, d 2.414, rel. 100
2θ = 37.5°, d 2.399, rel. 50
2θ = 67.5°, d 1.388, rel. 32
2θ = 54.0°, d 1.697, rel. 17
2θ = 67.0°, d 1.397, rel. 16
2θ = 22.6°, d 3.934, rel. 14
2θ = 29.4°, d 3.043, rel. 11
2θ = 18.5°, d 4.799, rel. 11


Simulated powder X-ray diffraction pattern
Compound: Li4H3BrO3
Radiation: Cu Kα
Structure: the PBE geometry in Alexandria

Lattice parameters (Å, degrees): 5.483 7.652 6.566 90.00 94.02 90.00
Sites, in units of the cell vectors:
Li (0.074, 0.250, 0.421)
Li (0.351, 0.521, 0.635)
Li (0.351, 0.979, 0.635)
Li (0.397, 0.250, 0.186)
Li (0.603, 0.750, 0.814)
Li (0.649, 0.021, 0.365)
Li (0.649, 0.479, 0.365)
Li (0.926, 0.750, 0.579)
H (0.170, 0.750, 0.865)
H (0.192, 0.531, 0.272)
H (0.192, 0.969, 0.272)
H (0.808, 0.031, 0.728)
H (0.808, 0.469, 0.728)
H (0.830, 0.250, 0.135)
Br (0.166, 0.250, 0.829)
Br (0.834, 0.750, 0.171)
O (0.248, 0.750, 0.736)
O (0.289, 0.055, 0.352)
O (0.289, 0.445, 0.352)
O (0.711, 0.555, 0.648)
O (0.711, 0.945, 0.648)
O (0.752, 0.250, 0.264)

The 8 most intense peaks (15° ≤ 2θ ≤ 90°), most intense first:
2θ = 20.0°, d 4.450, rel. 100
2θ = 23.5°, d 3.782, rel. 68
2θ = 32.1°, d 2.785, rel. 67
2θ = 29.7°, d 3.011, rel. 57
2θ = 31.1°, d 2.873, rel. 55
2θ = 21.9°, d 4.061, rel. 52
2θ = 34.9°, d 2.572, rel. 43
2θ = 23.2°, d 3.826, rel. 39


Simulated powder X-ray diffraction pattern
Compound: Li3Al2Ge2Au4
Radiation: Cu Kα
Structure: the PBE geometry in Alexandria

Lattice parameters (Å, degrees): 4.481 4.481 11.264 90.00 90.00 120.00
Sites, in units of the cell vectors:
Li (0.000, 0.000, 0.000)
Li (0.000, 0.000, 0.257)
Li (0.000, 0.000, 0.743)
Al (0.333, 0.667, 0.597)
Al (0.667, 0.333, 0.403)
Ge (0.333, 0.667, 0.130)
Ge (0.667, 0.333, 0.870)
Au (0.333, 0.667, 0.369)
Au (0.333, 0.667, 0.861)
Au (0.667, 0.333, 0.139)
Au (0.667, 0.333, 0.631)

The 8 most intense peaks (15° ≤ 2θ ≤ 90°), most intense first:
2θ = 27.9°, d 3.195, rel. 100
2θ = 40.3°, d 2.240, rel. 77
2θ = 22.9°, d 3.881, rel. 74
2θ = 52.2°, d 1.753, rel. 63
2θ = 39.5°, d 2.279, rel. 43
2θ = 31.8°, d 2.816, rel. 42
2θ = 49.7°, d 1.834, rel. 22
2θ = 65.8°, d 1.419, rel. 19


Simulated powder X-ray diffraction pattern
Compound: Dy3Ho2Hg3
Radiation: Cu Kα
Structure: the PBE geometry in Alexandria

Lattice parameters (Å, degrees): 11.474 11.474 11.474 161.33 153.31 32.77
Sites, in units of the cell vectors:
Dy (0.000, 0.000, 0.000)
Dy (0.378, 0.878, 0.500)
Dy (0.622, 0.122, 0.500)
Ho (0.232, 0.232, 0.000)
Ho (0.768, 0.768, 0.000)
Hg (0.119, 0.619, 0.500)
Hg (0.500, 0.500, 0.000)
Hg (0.881, 0.381, 0.500)

The 8 most intense peaks (15° ≤ 2θ ≤ 90°), most intense first:
2θ = 33.6°, d 2.665, rel. 100
2θ = 33.8°, d 2.648, rel. 26
2θ = 32.5°, d 2.752, rel. 23
2θ = 60.4°, d 1.532, rel. 20
2θ = 47.7°, d 1.908, rel. 16
2θ = 58.8°, d 1.571, rel. 13
2θ = 70.7°, d 1.332, rel. 11
2θ = 60.8°, d 1.523, rel. 10


Simulated powder X-ray diffraction pattern
Compound: MgTe4Ir
Radiation: Cu Kα
Structure: the PBE geometry in Alexandria

Lattice parameters (Å, degrees): 6.160 6.160 6.160 60.00 60.00 60.00
Sites, in units of the cell vectors:
Mg (0.000, 0.000, 0.000)
Te (0.127, 0.624, 0.624)
Te (0.624, 0.127, 0.624)
Te (0.624, 0.624, 0.127)
Te (0.624, 0.624, 0.624)
Ir (0.250, 0.250, 0.250)

The 8 most intense peaks (15° ≤ 2θ ≤ 90°), most intense first:
2θ = 34.1°, d 2.626, rel. 100
2θ = 35.7°, d 2.515, rel. 46
2θ = 54.8°, d 1.676, rel. 34
2θ = 60.1°, d 1.540, rel. 28
2θ = 17.6°, d 5.029, rel. 23
2θ = 85.7°, d 1.134, rel. 22
2θ = 29.0°, d 3.080, rel. 20
2θ = 71.9°, d 1.313, rel. 18


Simulated powder X-ray diffraction pattern
Compound: LaHo3Tm6
Radiation: Cu Kα
Structure: the PBE geometry in Alexandria

Lattice parameters (Å, degrees): 6.824 6.824 6.824 91.09 91.09 91.09
Sites, in units of the cell vectors:
La (0.000, 0.000, 0.000)
Ho (0.255, 0.255, 0.255)
Ho (0.501, 0.501, 0.501)
Ho (0.749, 0.749, 0.749)
Tm (0.169, 0.829, 0.498)
Tm (0.336, 0.662, 0.998)
Tm (0.498, 0.169, 0.829)
Tm (0.662, 0.998, 0.336)
Tm (0.829, 0.498, 0.169)
Tm (0.998, 0.336, 0.662)

The 8 most intense peaks (15° ≤ 2θ ≤ 90°), most intense first:
2θ = 31.8°, d 2.812, rel. 100
2θ = 29.5°, d 3.028, rel. 70
2θ = 55.3°, d 1.662, rel. 24
2θ = 43.9°, d 2.061, rel. 24
2θ = 56.7°, d 1.624, rel. 20
2θ = 42.1°, d 2.145, rel. 14
2θ = 32.7°, d 2.741, rel. 14
2θ = 57.9°, d 1.593, rel. 13


Simulated powder X-ray diffraction pattern
Compound: CdIrN
Radiation: Cu Kα
Structure: the PBE geometry in Alexandria

Lattice parameters (Å, degrees): 3.048 3.090 10.048 98.63 90.38 90.05
Sites, in units of the cell vectors:
Cd (0.243, 0.067, 0.132)
Cd (0.757, 0.933, 0.868)
Ir (0.252, 0.287, 0.576)
Ir (0.748, 0.713, 0.424)
N (0.258, 0.382, 0.761)
N (0.742, 0.618, 0.239)

The 8 most intense peaks (15° ≤ 2θ ≤ 90°), most intense first:
2θ = 41.9°, d 2.157, rel. 100
2θ = 34.4°, d 2.606, rel. 53
2θ = 34.6°, d 2.590, rel. 53
2θ = 32.0°, d 2.800, rel. 53
2θ = 36.8°, d 2.443, rel. 30
2θ = 36.9°, d 2.435, rel. 30
2θ = 17.9°, d 4.967, rel. 26
2θ = 26.9°, d 3.311, rel. 21